Theoretical PXRD pattern
Compound: NaTiO2
Radiation: Cu Kα (weighted mean of Kα1 and Kα2)
Structure: a PBE-relaxed structure
Peak positions follow from Bragg's law for the DFT cell and can differ from measured ones.

Largest 6 diffraction maxima, low angle first, 2θ = 15–90°:
2θ/deg  intensity
20.5  1000
29.3  581
31.0  740
33.7  602
36.7  780
42.6  817

Crystal structure
a = 5.4412 Å, b = 12.2915 Å, c = 6.1025 Å
α = 90.00°, β = 90.00°, γ = 90.00°
Fractional positions:
Na1 0.0877 0.1860 0.1128
Na2 0.0877 0.3140 0.6128
Na3 0.4123 0.6860 0.1128
Na4 0.4123 0.8140 0.6128
Na5 0.5877 0.1860 0.3872
Na6 0.5877 0.3140 0.8872
Na7 0.9123 0.6860 0.3872
Na8 0.9123 0.8140 0.8872
Ti1 0.1222 0.0583 0.6702
Ti2 0.1222 0.4417 0.1702
Ti3 0.3778 0.5583 0.6702
Ti4 0.3778 0.9417 0.1702
Ti5 0.6222 0.0583 0.8298
Ti6 0.6222 0.4417 0.3298
Ti7 0.8778 0.5583 0.8298
Ti8 0.8778 0.9417 0.3298
O1 0.1064 0.6679 0.7341
O2 0.1064 0.8321 0.2341
O3 0.2030 0.0440 0.3594
O4 0.2030 0.4560 0.8594
O5 0.2970 0.5440 0.3594
O6 0.2970 0.9560 0.8594
O7 0.3936 0.1679 0.7341
O8 0.3936 0.3321 0.2341
O9 0.6064 0.6679 0.7659
O10 0.6064 0.8321 0.2659
O11 0.7030 0.0440 0.1406
O12 0.7030 0.4560 0.6406
O13 0.7970 0.5440 0.1406
O14 0.7970 0.9560 0.6406
O15 0.8936 0.1679 0.7659
O16 0.8936 0.3321 0.2659

Theoretical PXRD pattern
Compound: Na7Ti16O32
Radiation: Cu Kα (weighted mean of Kα1 and Kα2)
Structure: a PBE-relaxed structure
Peak positions follow from Bragg's law for the DFT cell and can differ from measured ones.

Largest 6 diffraction maxima, low angle first, 2θ = 15–90°:
2θ/deg  intensity
17.7  1000
34.3  924
41.6  643
55.0  451
60.3  589
86.0  135

Crystal structure
a = 10.6329 Å, b = 10.6329 Å, c = 10.6329 Å
α = 131.83°, β = 131.83°, γ = 70.49°
Fractional positions:
Na1 0.0000 0.0000 0.0000
Na2 0.1256 0.6261 0.0000
Na3 0.2500 0.7500 0.5000
Na4 0.3739 0.3739 0.4995
Na5 0.6261 0.1256 0.0000
Na6 0.7500 0.2500 0.5000
Na7 0.8744 0.8744 0.5005
Ti1 0.0622 0.3113 0.0000
Ti2 0.0692 0.3153 0.5076
Ti3 0.1897 0.1897 0.7518
Ti4 0.1923 0.6847 0.7539
Ti5 0.3113 0.0622 0.0000
Ti6 0.3153 0.0692 0.5076
Ti7 0.4379 0.4379 0.2482
Ti8 0.4385 0.9308 0.2461
Ti9 0.5615 0.8077 0.4924
Ti10 0.5621 0.8103 0.0000
Ti11 0.6847 0.1923 0.7539
Ti12 0.6887 0.6887 0.7509
Ti13 0.8077 0.5615 0.4924
Ti14 0.8103 0.5621 0.0000
Ti15 0.9308 0.4385 0.2461
Ti16 0.9378 0.9378 0.2491
O1 0.0359 0.5359 0.2170
O2 0.0530 0.5549 0.7147
O3 0.0732 0.0732 0.2887
O4 0.0878 0.0878 0.7823
O5 0.1598 0.4451 0.4981
O6 0.1812 0.9641 0.5001
O7 0.1924 0.4111 0.0000
O8 0.2155 0.9268 0.0000
O9 0.2874 0.2874 0.7162
O10 0.3054 0.3054 0.2177
O11 0.3189 0.8188 0.7830
O12 0.3383 0.8402 0.2853
O13 0.4111 0.1924 0.0000
O14 0.4288 0.7126 0.0000
O15 0.4451 0.1598 0.4981
O16 0.4641 0.6811 0.4999
O17 0.5359 0.0359 0.2170
O18 0.5549 0.0530 0.7147
O19 0.5712 0.5712 0.2838
O20 0.5889 0.5889 0.7813
O21 0.6617 0.9470 0.5019
O22 0.6811 0.4641 0.4999
O23 0.6946 0.9122 0.0000
O24 0.7126 0.4288 0.0000
O25 0.7845 0.7845 0.7113
O26 0.8076 0.8076 0.2187
O27 0.8188 0.3189 0.7830
O28 0.8402 0.3383 0.2853
O29 0.9122 0.6946 0.0000
O30 0.9268 0.2155 0.0000
O31 0.9470 0.6617 0.5019
O32 0.9641 0.1812 0.5001